[1]
Structure and calculated X-ray powder pattern of CsBa2Ni2F9 (DFT lattice parameters and positions (PBE+U); copper Kα).

Top 10 peaks for 2θ = 10–90°, by angle:
Position (°2θ), I (rel.)
26.96, 100.0
30.14, 76.1
38.83, 16.8
40.87, 59.3
45.53, 22.0
51.62, 33.6
53.53, 15.2
62.66, 18.9
64.52, 15.0
69.48, 13.8

Cell lengths 7.978, 7.978, 7.978 Å; angles 43.64, 43.64, 43.64 degrees
Fractional positions:
Cs1 0.000 0.000 0.000
Ba1 0.214 0.214 0.214
Ba2 0.419 0.419 0.419
Ni1 0.604 0.604 0.604
Ni2 0.826 0.826 0.826
F1 0.223 0.704 0.704
F2 0.446 0.946 0.946
F3 0.479 0.479 0.989
F4 0.479 0.989 0.479
F5 0.704 0.223 0.704
F6 0.704 0.704 0.223
F7 0.946 0.446 0.946
F8 0.946 0.946 0.446
F9 0.989 0.479 0.479

---

[2]
Structure and calculated X-ray powder pattern of Ba4Dy2Cu6NiO15 (DFT lattice parameters and positions (PBE+U); copper Kα).

Top 10 peaks for 2θ = 10–90°, by angle:
Position (°2θ), I (rel.)
31.13, 19.6
32.50, 100.0
33.69, 28.2
40.01, 12.7
46.37, 16.1
46.54, 10.3
46.71, 15.7
57.77, 20.6
58.82, 10.7
59.52, 13.7

Cell lengths 3.916, 25.444, 25.444 Å; angles 8.77, 90.00, 90.00 degrees
Fractional positions:
Ba1 0.000 0.000 0.000
Ba2 0.000 0.084 0.084
Ba3 0.000 0.230 0.230
Ba4 0.000 0.854 0.854
Dy1 0.000 0.157 0.157
Dy2 0.000 0.927 0.927
Cu1 0.500 0.312 0.312
Cu2 0.500 0.393 0.393
Cu3 0.500 0.542 0.542
Cu4 0.500 0.624 0.624
Cu5 0.500 0.691 0.691
Cu6 0.500 0.771 0.771
Ni1 0.500 0.462 0.462
O1 0.000 0.398 0.398
O2 0.000 0.454 0.454
O3 0.000 0.542 0.542
O4 0.000 0.630 0.630
O5 0.000 0.686 0.686
O6 0.500 0.129 0.129
O7 0.500 0.185 0.185
O8 0.500 0.275 0.275
O9 0.500 0.349 0.349
O10 0.500 0.504 0.504
O11 0.500 0.579 0.579
O12 0.500 0.735 0.735
O13 0.500 0.809 0.809
O14 0.500 0.898 0.898
O15 0.500 0.954 0.954

---

[3]
Structure and calculated X-ray powder pattern of Ba2ErCuNi2O7 (DFT lattice parameters and positions (PBE+U); copper Kα).

Top 10 peaks for 2θ = 10–90°, by angle:
Position (°2θ), I (rel.)
32.27, 97.3
32.51, 90.9
32.79, 100.0
40.11, 30.9
45.87, 29.2
46.69, 27.6
47.40, 18.8
57.52, 39.2
58.05, 34.7
58.51, 36.4

Cell lengths 3.891, 3.957, 11.507 Å; angles 90.00, 90.00, 90.00 degrees
Fractional positions:
Ba1 0.000 0.000 0.182
Ba2 0.000 0.000 0.818
Er1 0.000 0.000 0.500
Cu1 0.500 0.500 0.000
Ni1 0.500 0.500 0.344
Ni2 0.500 0.500 0.656
O1 0.000 0.500 0.379
O2 0.000 0.500 0.621
O3 0.500 0.000 0.000
O4 0.500 0.000 0.378
O5 0.500 0.000 0.622
O6 0.500 0.500 0.164
O7 0.500 0.500 0.836

---

Number 3 is which compound?
Ba2ErCuNi2O7

---

Number 3 is which compound?
Ba2ErCuNi2O7